For PrCd6Ag2, a cell relaxed with GGA-PBE gives the computed X-ray diffraction stick pattern in this record (Cu Kα X-rays).
Intensities are scaled so that the largest is 100.

Structure:
```
PrCd6Ag2
1.0
7.9452 -5.4719 0.0000
7.9452 5.4719 0.0000
0.0000 0.0000 4.8628
Pr Cd Ag
2 12 4
Direct
0.1958 0.8042 0.7500
0.8042 0.1958 0.2500
0.0390 0.1942 0.7500
0.0535 0.3835 0.2500
0.1942 0.0390 0.2500
0.2713 0.5490 0.2500
0.3835 0.0535 0.7500
0.4510 0.7287 0.2500
0.5490 0.2713 0.7500
0.6165 0.9465 0.2500
0.7287 0.4510 0.7500
0.8058 0.9610 0.7500
0.9465 0.6165 0.7500
0.9610 0.8058 0.2500
0.2359 0.3948 0.7500
0.3948 0.2359 0.2500
0.6052 0.7641 0.7500
0.7641 0.6052 0.2500
```

Peak list (10 most intense, 15 to 90 degrees two-theta, low angle first)
two_theta, Rel. int.
27.75, 18
31.16, 19
33.41, 21
34.70, 100
36.97, 54
37.53, 27
37.73, 63
42.04, 26
53.70, 19
65.16, 18

For AlCBr2, a cell relaxed with GGA-PBE gives the computed X-ray diffraction stick pattern in this record (Cu Kα X-rays).
Intensities are scaled so that the largest is 100.

Structure:
```
AlCBr2
1.0
3.6176 0.0000 0.0000
-1.8088 3.1329 0.0000
0.0000 0.0000 24.6193
Al C Br
3 3 6
Direct
0.0000 0.0000 0.0000
0.3333 0.6667 0.6667
0.6667 0.3333 0.3333
0.0000 0.0000 0.5000
0.3333 0.6667 0.1667
0.6667 0.3333 0.8333
0.0000 0.0000 0.4096
0.0000 0.0000 0.5904
0.3333 0.6667 0.0763
0.3333 0.6667 0.2571
0.6667 0.3333 0.7429
0.6667 0.3333 0.9237
```

Peak list (10 most intense, 15 to 90 degrees two-theta, low angle first)
two_theta, Rel. int.
21.66, 50
28.73, 79
29.42, 57
33.91, 100
38.48, 38
46.94, 38
50.09, 23
50.45, 42
55.52, 24
69.25, 25

For Y2In2Cl, a cell relaxed with GGA-PBE gives the computed X-ray diffraction stick pattern in this record (Cu Kα X-rays).
Intensities are scaled so that the largest is 100.

Structure:
```
Y2In2Cl
1.0
7.4266 0.0000 0.0000
0.0000 7.4266 0.0000
0.0000 0.0000 4.9210
Y In Cl
4 4 2
Direct
0.1648 0.3352 0.0000
0.3352 0.8352 0.0000
0.6648 0.1648 0.0000
0.8352 0.6648 0.0000
0.1411 0.6411 0.5000
0.3589 0.1411 0.5000
0.6411 0.8589 0.5000
0.8589 0.3589 0.5000
0.0000 0.0000 0.0000
0.5000 0.5000 0.0000
```

Peak list (10 most intense, 15 to 90 degrees two-theta, low angle first)
two_theta, Rel. int.
16.88, 13
24.79, 7
32.52, 100
36.52, 19
38.33, 21
52.26, 7
53.97, 15
54.23, 9
63.22, 14
70.98, 13

For TbY2Mg3, a cell relaxed with GGA-PBE gives the computed X-ray diffraction stick pattern in this record (Cu Kα X-rays).
Intensities are scaled so that the largest is 100.

Structure:
```
TbY2Mg3
1.0
3.8072 0.0000 0.0000
0.0000 3.8072 0.0000
0.0000 0.0000 11.3638
Tb Y Mg
1 2 3
Direct
0.0000 0.0000 0.0000
0.0000 0.0000 0.3327
0.0000 0.0000 0.6673
0.5000 0.5000 0.1668
0.5000 0.5000 0.5000
0.5000 0.5000 0.8332
```

Peak list (10 most intense, 15 to 90 degrees two-theta, low angle first)
two_theta, Rel. int.
23.37, 33
23.49, 16
33.34, 100
41.14, 15
47.78, 12
53.87, 13
59.53, 24
59.69, 12
70.09, 7
79.66, 10